Starting from the GGA-PBE geometry in OQMD, the XRD peak list of Tb4O5 was computed for Cu Kα (weighted mean of Kα1 and Kα2).
Peak positions follow from Bragg's law for the DFT cell and can differ from measured ones.

Cell and atoms:
Unit cell a=3.877 b=3.877 c=9.730 alpha=90.00 beta=90.00 gamma=90.00
Fractional positions:
Tb: 0.000 0.000 0.000
Tb: 0.000 0.000 0.500
Tb: 0.500 0.500 0.241
Tb: 0.500 0.500 0.759
O: 0.000 0.500 0.142
O: 0.000 0.500 0.858
O: 0.500 0.000 0.142
O: 0.500 0.000 0.858
O: 0.500 0.500 0.500

Most intense lines, 2θ = 5–70°, in order of rising 2θ:
d [Å]  I_rel
9.730  2
3.243  2
3.032  100
2.741  34
2.488  1
2.433  12
1.938  19
1.820  29
1.633  33
1.516  12
1.496  12
1.371  6

***

Starting from the GGA-PBE geometry in OQMD, the XRD peak list of Tb2Te4O11 was computed for Cu Kα (weighted mean of Kα1 and Kα2).
Peak positions follow from Bragg's law for the DFT cell and can differ from measured ones.

Cell and atoms:
Unit cell a=6.691 b=6.691 c=15.959 alpha=105.22 beta=105.22 gamma=44.89
Fractional positions:
Tb: 0.127 0.635 0.963
Tb: 0.365 0.873 0.537
Tb: 0.635 0.127 0.463
Tb: 0.873 0.365 0.037
Te: 0.093 0.660 0.630
Te: 0.098 0.650 0.297
Te: 0.340 0.907 0.870
Te: 0.350 0.902 0.203
Te: 0.650 0.098 0.797
Te: 0.660 0.093 0.130
Te: 0.902 0.350 0.703
Te: 0.907 0.340 0.370
O: 0.057 0.894 0.402
O: 0.106 0.943 0.098
O: 0.162 0.253 0.945
O: 0.186 0.313 0.631
O: 0.253 0.162 0.445
O: 0.284 0.411 0.829
O: 0.313 0.186 0.131
O: 0.321 0.542 0.546
O: 0.364 0.636 0.250
O: 0.411 0.284 0.329
O: 0.458 0.679 0.954
O: 0.542 0.321 0.046
O: 0.589 0.716 0.671
O: 0.636 0.364 0.750
O: 0.679 0.458 0.454
O: 0.687 0.814 0.869
O: 0.716 0.589 0.171
O: 0.747 0.838 0.555
O: 0.814 0.687 0.369
O: 0.838 0.747 0.055
O: 0.894 0.057 0.902
O: 0.943 0.106 0.598

Most intense lines, 2θ = 5–70°, in order of rising 2θ:
d [Å]  I_rel
3.275  100
2.981  69
2.965  33
2.630  21
2.554  19
2.133  15
1.935  23
1.833  29
1.821  18
1.668  14
1.659  14
1.637  12

***

Starting from the GGA-PBE geometry in OQMD, the XRD peak list of TbTmO4 was computed for Cu Kα (weighted mean of Kα1 and Kα2).
Peak positions follow from Bragg's law for the DFT cell and can differ from measured ones.

Cell and atoms:
Unit cell a=3.851 b=3.851 c=6.117 alpha=95.48 beta=95.48 gamma=56.96
Fractional positions:
Tb: 0.000 0.000 0.000
Tm: 0.364 0.364 0.457
O: 0.036 0.036 0.380
O: 0.329 0.329 0.089
O: 0.589 0.589 0.777
O: 0.775 0.775 0.670

Most intense lines, 2θ = 5–70°, in order of rising 2θ:
d [Å]  I_rel
3.365  31
3.224  20
3.090  18
3.040  47
2.912  100
2.817  33
2.789  37
2.157  20
1.914  32
1.836  19
1.758  27
1.692  17